Starting from a crystal structure in the Materials Project, relaxed with GGA+U, the powder X-ray diffraction pattern of Sr2CoBr2O2 was calculated for CuKα.
Peak positions follow from Bragg's law for the DFT cell and can differ from measured ones.

Cell and atoms:
abc: 4.103 4.103 17.359
angles: 90.00 90.00 90.00
Atoms (fractional coordinates):
Sr1 0.000 0.000 0.095
Sr2 0.000 0.000 0.905
Sr3 0.500 0.500 0.405
Sr4 0.500 0.500 0.595
Co1 0.000 0.000 0.500
Co2 0.500 0.500 0.000
Br1 0.000 0.000 0.327
Br2 0.000 0.000 0.673
Br3 0.500 0.500 0.173
Br4 0.500 0.500 0.827
O1 0.000 0.500 0.000
O2 0.000 0.500 0.500
O3 0.500 0.000 0.000
O4 0.500 0.000 0.500

The 10 most intense peaks (10 to 90 degrees two-theta), in order of rising 2θ:
| index | Position (°2θ) | d_spacing | I_rel |
| --- | --- | --- | --- |
| 0 0 2 | 10.2 | 8.680 | 20 |
| 1 1 0 | 30.8 | 2.901 | 77 |
| 1 0 5 | 33.8 | 2.650 | 100 |
| 1 1 4 | 37.3 | 2.412 | 16 |
| 1 0 7 | 42.6 | 2.122 | 17 |
| 2 0 0 | 44.2 | 2.051 | 38 |
| 2 1 5 | 56.8 | 1.622 | 43 |
| 2 1 7 | 63.0 | 1.475 | 10 |
| 2 2 0 | 64.2 | 1.450 | 12 |
| 3 1 0 | 72.9 | 1.297 | 13 |